Diffraction record for LiTl2InI4. The powder diffraction line list is theoretical, not measured: it uses the PBE geometry in Alexandria and Cu Ka.

Peak list (6 most intense, 15 to 90 degrees two-theta, by angle)
d_spacing  2theta  intensity
4.117  21.59  23
3.426  26.01  100
3.413  26.11  48
2.418  37.18  73
2.401  37.45  20
1.964  46.22  20

Structural model:
Lattice parameters (Å, degrees): 9.6727 9.6727 9.6727 120.46 119.28 90.23
Positions (direct):
Li1 0.5000 0.0000 0.0000
Li2 0.5000 0.5000 0.5000
Tl1 0.0000 0.0000 0.0000
Tl2 0.0000 0.0000 0.5000
Tl3 0.0000 0.5000 0.0000
Tl4 0.5000 0.0000 0.5000
In1 0.0000 0.5000 0.5000
In2 0.5000 0.5000 0.0000
I1 0.2708 0.2732 0.5024
I2 0.2708 0.7684 0.9976
I3 0.2752 0.7488 0.5264
I4 0.2776 0.2512 0.0264
I5 0.7224 0.7488 0.9736
I6 0.7248 0.2512 0.4736
I7 0.7292 0.2316 0.0024
I8 0.7292 0.7268 0.4976